Diffraction record for Na2CuP2S6. The X-ray diffraction stick pattern is simulated, not measured: it uses a PBE-relaxed structure and a wavelength of 1.5418 Å.
Intensities are scaled so that the largest is 100.

Peak list (8 most intense, 2θ = 10–80°, by angle)
- 2θ = 13.4°, d = 6.609 Å, I 100.0, hkl 0 0 1
- 2θ = 21.1°, d = 4.214 Å, I 87.6, hkl 1 0 1
- 2θ = 28.3°, d = 3.159 Å, I 36.3, hkl 1 1 0
- 2θ = 31.4°, d = 2.850 Å, I 85.5, hkl 1 1 1
- 2θ = 31.6°, d = 2.829 Å, I 51.7, hkl 1 0 2
- 2θ = 35.5°, d = 2.528 Å, I 79.7, hkl 2 0 1
- 2θ = 39.5°, d = 2.283 Å, I 93.8, hkl 1 1 2
- 2θ = 58.4°, d = 1.580 Å, I 39.6, hkl 2 2 0

Atomic structure:
a = 6.3173 Å, b = 6.3173 Å, c = 6.6094 Å
α = 90.00°, β = 90.00°, γ = 120.00°
Space group P-3 (No. 147)
Symmetry-distinct sites (fractional):
Na1 0.3333 0.6667 0.3837 x2
Cu1 0.0000 0.0000 0.0000 x1
P1 0.3333 0.6667 0.9270 x2
S1 0.1026 0.3367 0.7714 x6

---

Diffraction record for Sr12TlAu5. The X-ray diffraction stick pattern is simulated, not measured: it uses a PBE-relaxed structure and a wavelength of 1.5418 Å.
Intensities are scaled so that the largest is 100.

Peak list (8 most intense, 2θ = 10–80°, by angle)
- 2θ = 17.2°, d = 5.162 Å, I 54.1, hkl 2 0 0
- 2θ = 29.8°, d = 3.001 Å, I 55.2, hkl 2 1 3
- 2θ = 30.1°, d = 2.969 Å, I 100.0, hkl 1 3 2
- 2θ = 31.0°, d = 2.888 Å, I 74.0, hkl 2 3 1
- 2θ = 32.7°, d = 2.737 Å, I 41.2, hkl 0 4 0
- 2θ = 34.7°, d = 2.587 Å, I 45.0, hkl 3 0 3
- 2θ = 34.8°, d = 2.581 Å, I 42.4, hkl 4 0 0
- 2θ = 53.3°, d = 1.719 Å, I 44.8, hkl 6 0 0

Atomic structure:
a = 10.324 Å, b = 10.946 Å, c = 11.755 Å
α = 90.00°, β = 90.00°, γ = 90.00°
Space group Immm (No. 71)
Symmetry-distinct sites (fractional):
Sr1 0.000 0.188 0.241 x8
Sr2 0.190 0.500 0.162 x8
Sr3 0.221 0.325 0.500 x8
Tl1 0.000 0.000 0.500 x2
Au1 0.000 0.000 0.000 x2
Au2 0.000 0.330 0.000 x4
Au3 0.000 0.500 0.373 x4

---

Diffraction record for AgTeAs3. The X-ray diffraction stick pattern is simulated, not measured: it uses a PBE-relaxed structure and a wavelength of 1.5418 Å.
Intensities are scaled so that the largest is 100.

Peak list (8 most intense, 2θ = 10–80°, by angle)
- 2θ = 25.1°, d = 3.550 Å, I 58.4, hkl 1 1 0
- 2θ = 30.8°, d = 2.899 Å, I 53.6, hkl 1 1 1
- 2θ = 35.8°, d = 2.510 Å, I 100.0, hkl 2 0 0
- 2θ = 44.2°, d = 2.050 Å, I 25.0, hkl 2 1 1
- 2θ = 51.5°, d = 1.775 Å, I 69.1, hkl 2 2 0
- 2θ = 61.2°, d = 1.514 Å, I 22.7, hkl 3 1 1
- 2θ = 64.3°, d = 1.449 Å, I 23.2, hkl 2 2 2
- 2θ = 70.1°, d = 1.342 Å, I 12.0, hkl 3 2 1

Atomic structure:
a = 5.020 Å, b = 5.020 Å, c = 5.020 Å
α = 90.00°, β = 90.00°, γ = 90.00°
Space group Pm-3m (No. 221)
Symmetry-distinct sites (fractional):
Ag1 0.000 0.000 0.000 x1
Te1 0.500 0.500 0.500 x1
As1 0.000 0.000 0.500 x3

---

Diffraction record for NpTiCu. The X-ray diffraction stick pattern is simulated, not measured: it uses a PBE-relaxed structure and a wavelength of 1.5418 Å.
Intensities are scaled so that the largest is 100.

Peak list (8 most intense, 2θ = 10–80°, by angle)
- 2θ = 31.2°, d = 2.866 Å, I 44.1, hkl 0 4 1
- 2θ = 31.8°, d = 2.817 Å, I 48.7, hkl 1 1 0
- 2θ = 34.1°, d = 2.630 Å, I 42.8, hkl 1 3 0
- 2θ = 36.9°, d = 2.438 Å, I 100.0, hkl 0 6 1
- 2θ = 41.4°, d = 2.179 Å, I 31.0, hkl 1 1 1
- 2θ = 43.3°, d = 2.089 Å, I 28.1, hkl 1 3 1
- 2θ = 46.9°, d = 1.938 Å, I 25.1, hkl 1 5 1
- 2θ = 51.9°, d = 1.762 Å, I 37.9, hkl 1 7 1

Atomic structure:
a = 2.844 Å, b = 20.748 Å, c = 3.439 Å
α = 90.00°, β = 90.00°, γ = 90.00°
Space group Cmcm (No. 63)
Symmetry-distinct sites (fractional):
Np1 0.000 0.040 0.250 x4
Ti1 0.000 0.208 0.250 x4
Cu1 0.000 0.359 0.250 x4

---

Diffraction record for CaY3Au. The X-ray diffraction stick pattern is simulated, not measured: it uses a PBE-relaxed structure and a wavelength of 1.5418 Å.
Intensities are scaled so that the largest is 100.

Peak list (8 most intense, 2θ = 10–80°, by angle)
- 2θ = 15.7°, d = 5.639 Å, I 100.0, hkl 1 0 0
- 2θ = 22.3°, d = 3.988 Å, I 33.0, hkl 1 1 0
- 2θ = 31.7°, d = 2.820 Å, I 82.8, hkl 2 0 0
- 2θ = 35.6°, d = 2.522 Å, I 56.3, hkl 2 1 0
- 2θ = 45.5°, d = 1.994 Å, I 60.2, hkl 2 2 0
- 2θ = 48.4°, d = 1.880 Å, I 30.0, hkl 3 0 0
- 2θ = 56.5°, d = 1.628 Å, I 20.8, hkl 2 2 2
- 2θ = 75.4°, d = 1.261 Å, I 26.3, hkl 4 2 0

Atomic structure:
a = 5.639 Å, b = 5.639 Å, c = 5.639 Å
α = 90.00°, β = 90.00°, γ = 90.00°
Space group Pm-3m (No. 221)
Symmetry-distinct sites (fractional):
Ca1 0.000 0.000 0.000 x1
Y1 0.000 0.500 0.500 x3
Au1 0.500 0.500 0.500 x1

---

Diffraction record for Dy5GaSb4. The X-ray diffraction stick pattern is simulated, not measured: it uses a PBE-relaxed structure and a wavelength of 1.5418 Å.
Intensities are scaled so that the largest is 100.

Peak list (8 most intense, 2θ = 10–80°, by angle)
- 2θ = 25.1°, d = 3.548 Å, I 6.1, hkl 2 1 1
- 2θ = 29.1°, d = 3.073 Å, I 100.0, hkl 1 3 0
- 2θ = 41.6°, d = 2.173 Å, I 75.9, hkl 4 2 0
- 2θ = 49.2°, d = 1.853 Å, I 3.3, hkl 5 0 1
- 2θ = 51.5°, d = 1.774 Å, I 27.0, hkl 4 2 2
- 2θ = 60.2°, d = 1.537 Å, I 12.6, hkl 0 0 4
- 2θ = 68.2°, d = 1.374 Å, I 34.5, hkl 1 3 4
- 2θ = 75.8°, d = 1.255 Å, I 25.5, hkl 4 2 4

Atomic structure:
a = 9.722 Å, b = 9.722 Å, c = 6.140 Å
α = 90.00°, β = 90.00°, γ = 90.00°
Space group I4/m (No. 87)
Symmetry-distinct sites (fractional):
Dy1 0.000 0.000 0.000 x2
Dy2 0.101 0.298 0.500 x8
Ga1 0.000 0.000 0.500 x2
Sb1 0.097 0.301 0.000 x8

---

Diffraction record for Pm8Zn2Ga. The X-ray diffraction stick pattern is simulated, not measured: it uses a PBE-relaxed structure and a wavelength of 1.5418 Å.
Intensities are scaled so that the largest is 100.

Peak list (8 most intense, 2θ = 10–80°, by angle)
- 2θ = 25.3°, d = 3.521 Å, I 13.6, hkl 1 0 3
- 2θ = 31.9°, d = 2.808 Å, I 24.8, hkl 1 1 4
- 2θ = 32.2°, d = 2.780 Å, I 20.8, hkl 0 3 1
- 2θ = 33.1°, d = 2.710 Å, I 100.0, hkl 1 2 3
- 2θ = 35.5°, d = 2.527 Å, I 28.3, hkl 2 0 0
- 2θ = 36.6°, d = 2.454 Å, I 16.9, hkl 0 0 6
- 2θ = 62.2°, d = 1.492 Å, I 16.0, hkl 3 2 3
- 2θ = 63.0°, d = 1.475 Å, I 13.6, hkl 1 5 4

Atomic structure:
a = 5.054 Å, b = 8.490 Å, c = 14.723 Å
α = 90.00°, β = 90.00°, γ = 90.00°
Space group Immm (No. 71)
Symmetry-distinct sites (fractional):
Pm1 0.000 0.000 0.134 x4
Pm2 0.000 0.225 0.339 x8
Pm3 0.000 0.318 0.000 x4
Zn1 0.000 0.500 0.194 x4
Ga1 0.000 0.500 0.500 x2

---

Diffraction record for Hf2CdRh3. The X-ray diffraction stick pattern is simulated, not measured: it uses a PBE-relaxed structure and a wavelength of 1.5418 Å.
Intensities are scaled so that the largest is 100.

Peak list (8 most intense, 2θ = 10–80°, by angle)
- 2θ = 18.7°, d = 4.736 Å, I 3.7, hkl 0 0 2
- 2θ = 26.9°, d = 3.312 Å, I 4.9, hkl 1 0 0
- 2θ = 38.4°, d = 2.342 Å, I 55.2, hkl 1 1 0
- 2θ = 39.4°, d = 2.285 Å, I 100.0, hkl 1 0 3
- 2θ = 55.5°, d = 1.656 Å, I 18.8, hkl 2 0 0
- 2θ = 58.5°, d = 1.579 Å, I 7.2, hkl 0 0 6
- 2θ = 70.2°, d = 1.341 Å, I 35.9, hkl 2 1 3
- 2θ = 72.2°, d = 1.309 Å, I 15.2, hkl 1 1 6

Atomic structure:
a = 3.312 Å, b = 3.312 Å, c = 9.472 Å
α = 90.00°, β = 90.00°, γ = 90.00°
Space group P4/mmm (No. 123)
Symmetry-distinct sites (fractional):
Hf1 0.000 0.000 0.173 x2
Cd1 0.000 0.000 0.500 x1
Rh1 0.500 0.500 0.000 x1
Rh2 0.500 0.500 0.318 x2

---

Diffraction record for Ag2Au3Br6. The X-ray diffraction stick pattern is simulated, not measured: it uses a PBE-relaxed structure and a wavelength of 1.5418 Å.
Intensities are scaled so that the largest is 100.

Peak list (8 most intense, 2θ = 10–80°, by angle)
- 2θ = 23.9°, d = 3.716 Å, I 100.0, hkl 0 2 1
- 2θ = 25.3°, d = 3.525 Å, I 19.0, hkl 3 1 -1
- 2θ = 25.9°, d = 3.438 Å, I 95.3, hkl 3 1 0
- 2θ = 27.7°, d = 3.220 Å, I 20.6, hkl 3 1 -3
- 2θ = 34.6°, d = 2.595 Å, I 19.8, hkl 0 0 6
- 2θ = 42.1°, d = 2.146 Å, I 44.2, hkl 3 3 -1
- 2θ = 43.5°, d = 2.081 Å, I 19.4, hkl 3 1 5
- 2θ = 47.3°, d = 1.923 Å, I 22.7, hkl 0 2 7

Atomic structure:
a = 11.915 Å, b = 7.653 Å, c = 16.105 Å
α = 90.00°, β = 104.83°, γ = 90.00°
Space group C2/c (No. 15)
Symmetry-distinct sites (fractional):
Ag1 0.079 0.244 0.013 x8
Au1 0.000 0.406 0.250 x4
Au2 0.132 0.118 0.752 x8
Br1 0.063 0.403 0.405 x8
Br2 0.117 0.110 0.599 x8
Br3 0.207 0.107 0.908 x8

---

Diffraction record for Cr2Cd. The X-ray diffraction stick pattern is simulated, not measured: it uses a PBE-relaxed structure and a wavelength of 1.5418 Å.
Intensities are scaled so that the largest is 100.

Peak list (8 most intense, 2θ = 10–80°, by angle)
- 2θ = 30.9°, d = 2.895 Å, I 14.8, hkl 1 1 0
- 2θ = 33.1°, d = 2.707 Å, I 40.4, hkl 0 4 1
- 2θ = 36.3°, d = 2.476 Å, I 17.1, hkl 1 3 0
- 2θ = 39.9°, d = 2.258 Å, I 49.4, hkl 0 0 2
- 2θ = 41.6°, d = 2.171 Å, I 100.0, hkl 1 3 1
- 2θ = 44.9°, d = 2.017 Å, I 19.6, hkl 0 6 1
- 2θ = 73.6°, d = 1.286 Å, I 16.3, hkl 1 3 3
- 2θ = 77.0°, d = 1.239 Å, I 12.6, hkl 2 0 2

Atomic structure:
a = 2.963 Å, b = 13.526 Å, c = 4.517 Å
α = 90.00°, β = 90.00°, γ = 90.00°
Space group Cmcm (No. 63)
Symmetry-distinct sites (fractional):
Cr1 0.000 0.137 0.250 x4
Cr2 0.000 0.244 0.750 x4
Cd1 0.000 0.435 0.250 x4

---

Diffraction record for Hf2TaTi4Nb2. The X-ray diffraction stick pattern is simulated, not measured: it uses a PBE-relaxed structure and a wavelength of 1.5418 Å.
Intensities are scaled so that the largest is 100.

Peak list (8 most intense, 2θ = 10–80°, by angle)
- 2θ = 12.6°, d = 7.012 Å, I 100.0, hkl 0 0 1
- 2θ = 33.3°, d = 2.693 Å, I 45.1, hkl 1 -1 0
- 2θ = 35.0°, d = 2.563 Å, I 49.2, hkl 2 1 1
- 2θ = 38.5°, d = 2.340 Å, I 82.7, hkl 2 1 2
- 2θ = 38.8°, d = 2.319 Å, I 54.4, hkl 1 2 -1
- 2θ = 39.4°, d = 2.285 Å, I 40.4, hkl 1 2 2
- 2θ = 39.7°, d = 2.270 Å, I 61.7, hkl 1 -1 2
- 2θ = 41.8°, d = 2.160 Å, I 40.4, hkl 2 1 -1

Atomic structure:
a = 5.147 Å, b = 5.299 Å, c = 7.283 Å
α = 81.29°, β = 74.41°, γ = 62.57°
Space group P-1 (No. 2)
Symmetry-distinct sites (fractional):
Hf1 0.203 0.143 0.444 x2
Ta1 0.500 0.500 0.500 x1
Ti1 0.157 0.822 0.826 x2
Ti2 0.244 0.592 0.183 x2
Nb1 0.322 0.231 0.889 x2

---

Diffraction record for Ce6Hg2Pb. The X-ray diffraction stick pattern is simulated, not measured: it uses a PBE-relaxed structure and a wavelength of 1.5418 Å.
Intensities are scaled so that the largest is 100.

Peak list (8 most intense, 2θ = 10–80°, by angle)
- 2θ = 33.9°, d = 2.641 Å, I 100.0, hkl 3 0 0
- 2θ = 34.7°, d = 2.584 Å, I 96.1, hkl 1 1 1
- 2θ = 49.3°, d = 1.847 Å, I 35.6, hkl 2 2 1
- 2θ = 59.0°, d = 1.565 Å, I 7.0, hkl 0 0 2
- 2θ = 60.7°, d = 1.525 Å, I 18.3, hkl 3 3 0
- 2θ = 61.2°, d = 1.514 Å, I 37.1, hkl 4 1 1
- 2θ = 69.8°, d = 1.347 Å, I 25.0, hkl 3 0 2
- 2θ = 71.4°, d = 1.321 Å, I 11.2, hkl 6 0 0

Atomic structure:
a = 9.1490 Å, b = 9.1490 Å, c = 3.1309 Å
α = 90.00°, β = 90.00°, γ = 120.00°
Space group P6/mmm (No. 191)
Symmetry-distinct sites (fractional):
Ce1 0.0000 0.3439 0.0000 x6
Hg1 0.3333 0.6667 0.5000 x2
Pb1 0.0000 0.0000 0.5000 x1